1.
Structure and computed PXRD pattern of Li5Au (a crystal structure in Alexandria, relaxed with GGA-PBE; copper Kα).
Intensities are scaled so that the largest is 100.

The 10 most intense peaks (2θ = 10–80°), sorted by position:
2θ 19.22, d 4.618, I = 63; 2θ 20.05, d 4.428, I = 58; 2θ 21.35, d 4.162, I = 100; 2θ 25.67, d 3.471, I = 64; 2θ 27.91, d 3.196, I = 51; 2θ 31.79, d 2.815, I = 38; 2θ 35.89, d 2.502, I = 28; 2θ 38.73, d 2.325, I = 30; 2θ 40.55, d 2.225, I = 20; 2θ 43.22, d 2.093, I = 22

Crystal structure
```
Li5Au
1.0
2.426 -4.428 0.000
2.426 4.428 0.000
-1.118 0.000 4.618
Li Au
5 1
direct
0.000 0.000 0.000
0.168 0.832 0.500
0.347 0.653 0.000
0.653 0.347 0.000
0.832 0.168 0.500
0.500 0.500 0.500
```


2.
Structure and computed PXRD pattern of Li7Au (a crystal structure in Alexandria, relaxed with GGA-PBE; copper Kα).
Intensities are scaled so that the largest is 100.

The 10 most intense peaks (2θ = 10–80°), sorted by position:
2θ 11.64, d 7.605, I = 100; 2θ 22.67, d 3.923, I = 67; 2θ 23.67, d 3.760, I = 61; 2θ 27.31, d 3.265, I = 43; 2θ 29.78, d 3.000, I = 33; 2θ 35.59, d 2.522, I = 22; 2θ 38.84, d 2.319, I = 25; 2θ 39.18, d 2.299, I = 25; 2θ 41.01, d 2.201, I = 31; 2θ 45.79, d 1.982, I = 22

Crystal structure
```
Li7Au
1.0
2.299 1.327 7.605
-2.299 1.327 7.605
0.000 -2.655 7.605
Li Au
7 1
direct
0.000 0.000 0.000
0.129 0.129 0.129
0.244 0.244 0.244
0.381 0.381 0.381
0.619 0.619 0.619
0.756 0.756 0.756
0.871 0.871 0.871
0.500 0.500 0.500
```


3.
Structure and computed PXRD pattern of Li8Au3 (a crystal structure in Alexandria, relaxed with GGA-PBE; copper Kα).
Intensities are scaled so that the largest is 100.

The 10 most intense peaks (2θ = 10–80°), sorted by position:
2θ 21.74, d 4.087, I = 23; 2θ 24.04, d 3.702, I = 60; 2θ 24.32, d 3.660, I = 100; 2θ 25.89, d 3.441, I = 30; 2θ 27.26, d 3.271, I = 44; 2θ 28.50, d 3.132, I = 35; 2θ 34.36, d 2.610, I = 22; 2θ 39.21, d 2.298, I = 47; 2θ 39.62, d 2.275, I = 46; 2θ 43.00, d 2.103, I = 29

Crystal structure
```
Li8Au3
1.0
4.264 -2.047 0.000
4.264 2.047 0.000
-2.918 0.000 9.813
Li Au
8 3
direct
0.051 0.051 0.318
0.129 0.129 0.958
0.225 0.225 0.592
0.326 0.326 0.228
0.674 0.674 0.772
0.775 0.775 0.408
0.871 0.871 0.042
0.949 0.949 0.682
0.396 0.396 0.859
0.500 0.500 0.500
0.604 0.604 0.141
```


4.
Structure and computed PXRD pattern of Li6MgAu (a crystal structure in Alexandria, relaxed with GGA-PBE; copper Kα).
Intensities are scaled so that the largest is 100.

The 10 most intense peaks (2θ = 10–80°), sorted by position:
2θ 13.57, d 6.523, I = 100; 2θ 18.87, d 4.704, I = 48; 2θ 19.11, d 4.645, I = 45; 2θ 23.32, d 3.815, I = 89; 2θ 23.51, d 3.784, I = 88; 2θ 26.98, d 3.305, I = 62; 2θ 27.34, d 3.262, I = 31; 2θ 30.32, d 2.948, I = 59; 2θ 38.78, d 2.322, I = 85; 2θ 45.41, d 1.997, I = 31

Crystal structure
```
Li6MgAu
1.0
4.645 0.000 0.000
0.000 6.523 0.000
0.000 0.000 4.704
Li Mg Au
6 1 1
direct
0.000 0.000 0.000
0.000 0.223 0.476
0.000 0.777 0.476
0.500 0.221 0.915
0.500 0.500 0.425
0.500 0.779 0.915
0.000 0.500 0.969
0.500 0.000 0.411
```


5.
Structure and computed PXRD pattern of LiMg5Au3 (a crystal structure in Alexandria, relaxed with GGA-PBE; copper Kα).
Intensities are scaled so that the largest is 100.

The 10 most intense peaks (2θ = 10–80°), sorted by position:
2θ 21.82, d 4.074, I = 31; 2θ 26.66, d 3.344, I = 100; 2θ 30.53, d 2.928, I = 23; 2θ 37.84, d 2.378, I = 31; 2θ 38.27, d 2.352, I = 50; 2θ 47.25, d 1.924, I = 21; 2θ 49.72, d 1.834, I = 34; 2θ 51.95, d 1.760, I = 17; 2θ 62.36, d 1.489, I = 17; 2θ 76.67, d 1.243, I = 13

Crystal structure
```
LiMg5Au3
1.0
8.148 0.000 0.000
-4.074 7.056 0.000
0.000 0.000 5.856
Li Mg Au
2 10 6
direct
0.000 0.000 0.000
0.000 0.000 0.500
0.000 0.313 0.250
0.000 0.687 0.750
0.313 0.000 0.250
0.313 0.313 0.750
0.333 0.667 0.000
0.333 0.667 0.500
0.667 0.333 0.000
0.667 0.333 0.500
0.687 0.000 0.750
0.687 0.687 0.250
0.000 0.351 0.750
0.000 0.649 0.250
0.351 0.000 0.750
0.351 0.351 0.250
0.649 0.000 0.250
0.649 0.649 0.750
```


6.
Structure and computed PXRD pattern of LiMg6Au (a crystal structure in Alexandria, relaxed with GGA-PBE; copper Kα).
Intensities are scaled so that the largest is 100.

The 10 most intense peaks (2θ = 10–80°), sorted by position:
2θ 16.45, d 5.388, I = 42; 2θ 16.87, d 5.256, I = 55; 2θ 17.77, d 4.991, I = 100; 2θ 18.61, d 4.767, I = 75; 2θ 23.65, d 3.762, I = 53; 2θ 29.47, d 3.031, I = 70; 2θ 33.26, d 2.694, I = 28; 2θ 33.72, d 2.658, I = 36; 2θ 35.99, d 2.496, I = 28; 2θ 37.92, d 2.373, I = 44

Crystal structure
```
LiMg6Au
1.0
3.207 -5.388 0.000
3.207 5.388 0.000
-2.865 0.000 5.256
Li Mg Au
1 6 1
direct
0.000 0.000 0.000
0.052 0.469 0.248
0.252 0.252 0.743
0.469 0.052 0.248
0.531 0.948 0.752
0.748 0.748 0.257
0.948 0.531 0.752
0.500 0.500 0.500
```


7.
Structure and computed PXRD pattern of Li8MgAu6 (a crystal structure in Alexandria, relaxed with GGA-PBE; copper Kα).
Intensities are scaled so that the largest is 100.

The 10 most intense peaks (2θ = 10–80°), sorted by position:
2θ 16.48, d 5.380, I = 42; 2θ 22.98, d 3.871, I = 37; 2θ 28.41, d 3.142, I = 100; 2θ 40.36, d 2.235, I = 42; 2θ 40.86, d 2.209, I = 55; 2θ 43.87, d 2.064, I = 22; 2θ 50.09, d 1.821, I = 21; 2θ 58.78, d 1.571, I = 19; 2θ 66.20, d 1.412, I = 19; 2θ 73.72, d 1.285, I = 20

Crystal structure
```
Li8MgAu6
1.0
3.871 2.235 5.380
-3.871 2.235 5.380
0.000 -4.469 5.380
Li Mg Au
8 1 6
direct
0.051 0.712 0.380
0.168 0.168 0.168
0.288 0.620 0.949
0.380 0.051 0.712
0.620 0.949 0.288
0.712 0.380 0.051
0.832 0.832 0.832
0.949 0.288 0.620
0.500 0.500 0.500
0.111 0.450 0.790
0.210 0.889 0.550
0.450 0.790 0.111
0.550 0.210 0.889
0.790 0.111 0.450
0.889 0.550 0.210
```


8.
Structure and computed PXRD pattern of Li5MgAu6 (a crystal structure in Alexandria, relaxed with GGA-PBE; copper Kα).
Intensities are scaled so that the largest is 100.

The 10 most intense peaks (2θ = 10–80°), sorted by position:
2θ 27.55, d 3.238, I = 100; 2θ 28.05, d 3.181, I = 96; 2θ 29.10, d 3.068, I = 88; 2θ 39.72, d 2.269, I = 91; 2θ 40.44, d 2.231, I = 44; 2θ 40.56, d 2.224, I = 43; 2θ 40.86, d 2.208, I = 85; 2θ 49.94, d 1.826, I = 40; 2θ 50.04, d 1.823, I = 40; 2θ 64.59, d 1.443, I = 18

Crystal structure
```
Li5MgAu6
1.0
4.467 0.000 0.000
0.000 6.361 0.000
-1.874 0.000 6.672
Li Mg Au
5 1 6
direct
0.000 0.000 0.000
0.330 0.000 0.669
0.331 0.500 0.668
0.669 0.500 0.332
0.670 0.000 0.331
0.000 0.500 0.000
0.174 0.247 0.340
0.174 0.753 0.340
0.500 0.241 0.000
0.500 0.759 0.000
0.826 0.247 0.660
0.826 0.753 0.660
```


9.
Structure and computed PXRD pattern of Li15Mg6Au (a crystal structure in Alexandria, relaxed with GGA-PBE; copper Kα).
Intensities are scaled so that the largest is 100.

The 10 most intense peaks (2θ = 10–80°), sorted by position:
2θ 11.01, d 8.032, I = 86; 2θ 11.24, d 7.871, I = 100; 2θ 16.94, d 5.233, I = 38; 2θ 17.61, d 5.035, I = 18; 2θ 18.04, d 4.917, I = 22; 2θ 21.96, d 4.047, I = 21; 2θ 26.88, d 3.317, I = 18; 2θ 27.10, d 3.290, I = 18; 2θ 34.21, d 2.621, I = 18; 2θ 35.25, d 2.546, I = 21

Crystal structure
```
Li15Mg6Au
1.0
5.474 0.000 0.000
-0.420 8.860 0.000
-2.492 -4.199 9.020
Li Mg Au
15 6 1
direct
0.000 0.000 0.000
0.008 0.487 0.720
0.080 0.243 0.422
0.149 0.235 0.837
0.326 0.911 0.820
0.343 0.722 0.002
0.364 0.045 0.280
0.474 0.362 0.691
0.526 0.438 0.089
0.589 0.135 0.116
0.683 0.167 0.846
0.686 0.702 0.834
0.745 0.115 0.534
0.845 0.881 0.221
0.921 0.552 0.027
0.081 0.356 0.192
0.233 0.982 0.549
0.247 0.613 0.550
0.393 0.720 0.307
0.646 0.427 0.413
0.784 0.831 0.626
0.894 0.660 0.335
```


10.
Structure and computed PXRD pattern of Li5Mg3Au2 (a crystal structure in Alexandria, relaxed with GGA-PBE; copper Kα).
Intensities are scaled so that the largest is 100.

The 10 most intense peaks (2θ = 10–80°), sorted by position:
2θ 10.63, d 8.326, I = 89; 2θ 21.90, d 4.059, I = 29; 2θ 22.80, d 3.900, I = 100; 2θ 24.27, d 3.668, I = 69; 2θ 31.06, d 2.879, I = 19; 2θ 32.26, d 2.775, I = 36; 2θ 33.02, d 2.712, I = 21; 2θ 41.70, d 2.166, I = 45; 2θ 46.83, d 1.940, I = 21; 2θ 47.56, d 1.912, I = 40

Crystal structure
```
Li5Mg3Au2
1.0
-5.379 6.574 2.712
5.379 -6.574 2.712
5.379 6.574 -2.712
Li Mg Au
10 6 4
direct
0.161 0.123 0.285
0.250 0.005 0.755
0.250 0.250 0.000
0.250 0.495 0.245
0.339 0.623 0.962
0.661 0.377 0.038
0.750 0.505 0.755
0.750 0.750 0.000
0.750 0.995 0.245
0.839 0.877 0.715
0.223 0.384 0.607
0.250 0.750 0.500
0.277 0.884 0.161
0.723 0.116 0.839
0.750 0.250 0.500
0.777 0.616 0.393
0.147 0.649 0.796
0.353 0.149 0.502
0.647 0.851 0.498
0.853 0.351 0.204
```


11.
Structure and computed PXRD pattern of LiMgAu3 (a crystal structure in Alexandria, relaxed with GGA-PBE; copper Kα).
Intensities are scaled so that the largest is 100.

The 10 most intense peaks (2θ = 10–80°), sorted by position:
2θ 16.11, d 5.503, I = 8; 2θ 22.89, d 3.886, I = 49; 2θ 28.11, d 3.174, I = 16; 2θ 40.17, d 2.245, I = 100; 2θ 46.75, d 1.943, I = 8; 2θ 58.12, d 1.587, I = 21; 2θ 63.32, d 1.469, I = 6; 2θ 65.79, d 1.419, I = 5; 2θ 73.01, d 1.296, I = 25; 2θ 73.05, d 1.295, I = 7

Crystal structure
```
LiMgAu3
1.0
4.487 0.000 0.000
-2.244 3.886 0.000
0.000 0.000 5.503
Li Mg Au
1 1 3
direct
0.000 0.000 0.000
0.333 0.667 0.501
0.333 0.667 0.001
0.667 0.333 0.257
0.667 0.333 0.747
```


12.
Structure and computed PXRD pattern of Li4MgAu15 (a crystal structure in Alexandria, relaxed with GGA-PBE; copper Kα).
Intensities are scaled so that the largest is 100.

The 10 most intense peaks (2θ = 10–80°), sorted by position:
2θ 21.64, d 4.106, I = 10; 2θ 21.81, d 4.075, I = 20; 2θ 30.91, d 2.893, I = 17; 2θ 38.15, d 2.359, I = 100; 2θ 44.11, d 2.053, I = 16; 2θ 44.46, d 2.038, I = 33; 2θ 64.42, d 1.446, I = 22; 2θ 64.70, d 1.441, I = 11; 2θ 77.15, d 1.236, I = 13; 2θ 77.66, d 1.230, I = 26

Crystal structure
```
Li4MgAu15
1.0
4.075 0.000 0.000
0.000 4.075 0.000
0.000 0.000 20.532
Li Mg Au
4 1 15
direct
0.000 0.000 0.099
0.000 0.000 0.297
0.000 0.000 0.703
0.000 0.000 0.901
0.000 0.000 0.500
0.000 0.500 0.000
0.000 0.500 0.198
0.000 0.500 0.397
0.000 0.500 0.603
0.000 0.500 0.802
0.500 0.000 0.000
0.500 0.000 0.198
0.500 0.000 0.397
0.500 0.000 0.603
0.500 0.000 0.802
0.500 0.500 0.099
0.500 0.500 0.297
0.500 0.500 0.500
0.500 0.500 0.703
0.500 0.500 0.901
```


Please write out number 3 again, unchanged.
Structure and computed PXRD pattern of Li8Au3 (a crystal structure in Alexandria, relaxed with GGA-PBE; copper Kα).
Intensities are scaled so that the largest is 100.

The 10 most intense peaks (2θ = 10–80°), sorted by position:
2θ 21.74, d 4.087, I = 23; 2θ 24.04, d 3.702, I = 60; 2θ 24.32, d 3.660, I = 100; 2θ 25.89, d 3.441, I = 30; 2θ 27.26, d 3.271, I = 44; 2θ 28.50, d 3.132, I = 35; 2θ 34.36, d 2.610, I = 22; 2θ 39.21, d 2.298, I = 47; 2θ 39.62, d 2.275, I = 46; 2θ 43.00, d 2.103, I = 29

Crystal structure
```
Li8Au3
1.0
4.264 -2.047 0.000
4.264 2.047 0.000
-2.918 0.000 9.813
Li Au
8 3
direct
0.051 0.051 0.318
0.129 0.129 0.958
0.225 0.225 0.592
0.326 0.326 0.228
0.674 0.674 0.772
0.775 0.775 0.408
0.871 0.871 0.042
0.949 0.949 0.682
0.396 0.396 0.859
0.500 0.500 0.500
0.604 0.604 0.141
```


What did the first record say?
Structure and computed PXRD pattern of Li5Au (a crystal structure in Alexandria, relaxed with GGA-PBE; copper Kα).
Intensities are scaled so that the largest is 100.

The 10 most intense peaks (2θ = 10–80°), sorted by position:
2θ 19.22, d 4.618, I = 63; 2θ 20.05, d 4.428, I = 58; 2θ 21.35, d 4.162, I = 100; 2θ 25.67, d 3.471, I = 64; 2θ 27.91, d 3.196, I = 51; 2θ 31.79, d 2.815, I = 38; 2θ 35.89, d 2.502, I = 28; 2θ 38.73, d 2.325, I = 30; 2θ 40.55, d 2.225, I = 20; 2θ 43.22, d 2.093, I = 22

Crystal structure
```
Li5Au
1.0
2.426 -4.428 0.000
2.426 4.428 0.000
-1.118 0.000 4.618
Li Au
5 1
direct
0.000 0.000 0.000
0.168 0.832 0.500
0.347 0.653 0.000
0.653 0.347 0.000
0.832 0.168 0.500
0.500 0.500 0.500
```


Q: Number 2 is which compound?
A: Li7Au